The following is a theoretical X-ray diffraction stick pattern of LaNdCu. It was derived from a cell relaxed with PBE, using Cu Ka.
Lines closer than 0.1° are merged.

Largest 12 diffraction maxima, by angle, 2θ from 10° to 90°:
| d [Å] | 2θ (°) | intensity |
| --- | --- | --- |
| 3.072 | 29.1 | 34.5 |
| 3.009 | 29.7 | 100.0 |
| 2.895 | 30.9 | 64.9 |
| 2.702 | 33.2 | 12.6 |
| 2.493 | 36.0 | 52.4 |
| 2.486 | 36.1 | 41.3 |
| 2.230 | 40.5 | 20.3 |
| 1.761 | 51.9 | 17.8 |
| 1.631 | 56.4 | 15.1 |
| 1.577 | 58.5 | 15.1 |
| 1.518 | 61.0 | 12.8 |
| 1.469 | 63.3 | 13.1 |

Structure:
Lattice parameters (Å, degrees): 7.812 4.973 8.640 90.00 90.00 90.00
Sites, in units of the cell vectors:
La: 0.028 0.250 0.162
La: 0.472 0.750 0.662
La: 0.528 0.250 0.338
La: 0.972 0.750 0.838
Nd: 0.143 0.250 0.589
Nd: 0.357 0.750 0.089
Nd: 0.643 0.250 0.911
Nd: 0.857 0.750 0.411
Cu: 0.228 0.750 0.401
Cu: 0.272 0.250 0.901
Cu: 0.728 0.750 0.099
Cu: 0.772 0.250 0.599


The following is a theoretical X-ray diffraction stick pattern of La3Nd3Cu4. It was derived from a cell relaxed with PBE, using Cu Ka.
Lines closer than 0.1° are merged.

Largest 12 diffraction maxima, by angle, 2θ from 10° to 90°:
| d [Å] | 2θ (°) | intensity |
| --- | --- | --- |
| 3.529 | 25.2 | 22.3 |
| 3.346 | 26.6 | 6.0 |
| 3.333 | 26.7 | 6.0 |
| 2.934 | 30.5 | 50.3 |
| 2.731 | 32.8 | 100.0 |
| 2.372 | 37.9 | 28.2 |
| 2.365 | 38.0 | 22.6 |
| 2.358 | 38.2 | 21.7 |
| 1.674 | 54.9 | 32.9 |
| 1.654 | 55.6 | 7.9 |
| 1.647 | 55.8 | 7.6 |
| 1.429 | 65.3 | 13.1 |

Structure:
Lattice parameters (Å, degrees): 4.744 7.468 7.468 90.28 90.00 90.00
Sites, in units of the cell vectors:
La: 0.000 0.000 0.000
La: 0.000 0.499 0.823
La: 0.000 0.823 0.499
Nd: 0.000 0.326 0.326
Nd: 0.500 0.162 0.656
Nd: 0.500 0.656 0.162
Cu: 0.500 0.043 0.281
Cu: 0.500 0.281 0.043
Cu: 0.500 0.539 0.539
Cu: 0.500 0.782 0.782